# Np2Ga6Os
Theoretical PXRD pattern, copper Kα. Input: a cell relaxed with GGA-PBE.
Intensities are scaled so that the largest is 100.

Structure:
```
data_Np2Ga6Os
_symmetry_space_group_name_H-M 'P -3 m 1'
_symmetry_Int_Tables_number 164
_symmetry_space_group_name_Hall '-P 3 2"'
_cell_length_a 5.9062
_cell_length_b 5.9062
_cell_length_c 5.5465
_cell_angle_alpha 90.00
_cell_angle_beta 90.00
_cell_angle_gamma 120.00
loop_
_atom_site_label
_atom_site_type_symbol
_atom_site_fract_x
_atom_site_fract_y
_atom_site_fract_z
Np1 Np 0.3333 0.6667 0.1838
Ga1 Ga 0.1770 0.3539 0.6837
Os1 Os 0.0000 0.0000 0.0000
```

Peak list (8 most intense, 2θ from 10° to 90°, sorted by position)
(hkl)  d (Å)  intensity
0 1 1  3.760  38
1 1 0  2.953  46
1 1 1  2.607  48
0 1 2  2.438  56
2 0 1  2.322  100
2 0 2  1.880  24
1 2 2  1.586  23
2 2 0  1.477  26


# Pr2HgAu4
Theoretical PXRD pattern, copper Kα. Input: a cell relaxed with GGA-PBE.
Intensities are scaled so that the largest is 100.

Structure:
```
data_Pr2HgAu4
_symmetry_space_group_name_H-M 'R -3 m'
_symmetry_Int_Tables_number 166
_symmetry_space_group_name_Hall '-R 3 2"'
_cell_length_a 5.1444
_cell_length_b 5.1444
_cell_length_c 21.9320
_cell_angle_alpha 90.00
_cell_angle_beta 90.00
_cell_angle_gamma 120.00
loop_
_atom_site_label
_atom_site_type_symbol
_atom_site_fract_x
_atom_site_fract_y
_atom_site_fract_z
Pr1 Pr 0.0000 0.0000 0.2314
Hg1 Hg 0.0000 0.0000 0.5000
Au1 Au 0.0000 0.0000 0.0738
Au2 Au 0.0000 0.0000 0.3680
```

Peak list (8 most intense, 2θ from 10° to 90°, sorted by position)
(hkl)  d (Å)  intensity
1 1 0  2.572  100
1 0 7  2.563  81
0 2 7  1.816  29
3 0 0  1.485  19
2 1 7  1.483  30
0 1 14  1.478  8
2 2 0  1.286  12
1 3 7  1.149  14


# Rb3AgBr5
Theoretical PXRD pattern, copper Kα. Input: a cell relaxed with GGA-PBE.
Intensities are scaled so that the largest is 100.

Structure:
```
data_Rb3AgBr5
_symmetry_space_group_name_H-M 'I 4/m c m'
_symmetry_Int_Tables_number 140
_symmetry_space_group_name_Hall '-I 4 2c'
_cell_length_a 9.2961
_cell_length_b 9.2961
_cell_length_c 16.0361
_cell_angle_alpha 90.00
_cell_angle_beta 90.00
_cell_angle_gamma 90.00
loop_
_atom_site_label
_atom_site_type_symbol
_atom_site_fract_x
_atom_site_fract_y
_atom_site_fract_z
Rb1 Rb 0.0000 0.0000 0.2500
Rb2 Rb 0.1552 0.3448 0.0000
Ag1 Ag 0.0000 0.5000 0.2500
Br1 Br 0.0000 0.0000 0.0000
Br2 Br 0.1500 0.3500 0.3576
```

Peak list (8 most intense, 2θ from 10° to 90°, sorted by position)
(hkl)  d (Å)  intensity
2 0 2  4.019  17
2 1 3  3.283  100
2 0 4  3.036  27
3 1 0  2.940  26
2 2 4  2.541  24
4 2 0  2.078  24
3 1 6  1.978  15
4 4 0  1.643  22


# Sc4TcGe3
Theoretical PXRD pattern, copper Kα. Input: a cell relaxed with GGA-PBE.
Intensities are scaled so that the largest is 100.

Structure:
```
data_Sc4TcGe3
_symmetry_space_group_name_H-M 'I 4/m c m'
_symmetry_Int_Tables_number 140
_symmetry_space_group_name_Hall '-I 4 2c'
_cell_length_a 10.5079
_cell_length_b 10.5079
_cell_length_c 5.2730
_cell_angle_alpha 90.00
_cell_angle_beta 90.00
_cell_angle_gamma 90.00
loop_
_atom_site_label
_atom_site_type_symbol
_atom_site_fract_x
_atom_site_fract_y
_atom_site_fract_z
Sc1 Sc 0.0807 0.2231 0.0000
Tc1 Tc 0.0000 0.5000 0.2500
Ge1 Ge 0.0000 0.0000 0.2500
Ge2 Ge 0.1543 0.3457 0.5000
```

Peak list (8 most intense, 2θ from 10° to 90°, sorted by position)
(hkl)  d (Å)  intensity
2 0 0  5.254  33
3 2 1  2.551  50
2 0 2  2.356  86
4 2 0  2.350  100
4 1 1  2.295  79
2 2 2  2.150  54
4 0 2  1.860  51
6 4 2  1.275  42


# Tb4Ni13C4
Theoretical PXRD pattern, copper Kα. Input: a cell relaxed with GGA-PBE.
Intensities are scaled so that the largest is 100.

Structure:
```
data_Tb4Ni13C4
_symmetry_space_group_name_H-M 'C m m m'
_symmetry_Int_Tables_number 65
_symmetry_space_group_name_Hall '-C 2 2'
_cell_length_a 11.7441
_cell_length_b 11.9992
_cell_length_c 3.8670
_cell_angle_alpha 90.00
_cell_angle_beta 90.00
_cell_angle_gamma 90.00
loop_
_atom_site_label
_atom_site_type_symbol
_atom_site_fract_x
_atom_site_fract_y
_atom_site_fract_z
Tb1 Tb 0.0000 0.1884 0.0000
Tb2 Tb 0.1521 0.5000 0.0000
Ni1 Ni 0.0000 0.0000 0.5000
Ni2 Ni 0.1078 0.3236 0.5000
Ni3 Ni 0.1225 0.0000 0.0000
Ni4 Ni 0.1822 0.1086 0.5000
Ni5 Ni 0.2500 0.2500 0.0000
C1 C 0.0000 0.4432 0.5000
C2 C 0.2500 0.2500 0.5000
```

Peak list (8 most intense, 2θ from 10° to 90°, sorted by position)
(hkl)  d (Å)  intensity
1 3 1  2.705  74
3 1 1  2.682  39
4 2 0  2.637  29
0 4 1  2.370  49
4 2 1  2.179  100
3 5 0  2.046  40
5 3 0  2.025  23
0 0 2  1.934  46


# La4Er5
Theoretical PXRD pattern, copper Kα. Input: a cell relaxed with GGA-PBE.
Intensities are scaled so that the largest is 100.

Structure:
```
data_La4Er5
_symmetry_space_group_name_H-M 'I m m m'
_symmetry_Int_Tables_number 71
_symmetry_space_group_name_Hall '-I 2 2'
_cell_length_a 3.6316
_cell_length_b 10.8908
_cell_length_c 15.2050
_cell_angle_alpha 90.00
_cell_angle_beta 90.00
_cell_angle_gamma 90.00
loop_
_atom_site_label
_atom_site_type_symbol
_atom_site_fract_x
_atom_site_fract_y
_atom_site_fract_z
La1 La 0.0000 0.1676 0.1659
Er1 Er 0.0000 0.1610 0.5000
Er2 Er 0.0000 0.5000 0.1630
Er3 Er 0.0000 0.5000 0.5000
```

Peak list (8 most intense, 2θ from 10° to 90°, sorted by position)
(hkl)  d (Å)  intensity
1 0 3  2.952  100
1 3 0  2.567  34
0 0 6  2.534  16
2 0 0  1.815  12
1 3 6  1.804  24
2 3 3  1.546  29
1 0 9  1.532  14
2 0 6  1.476  12


# La3Ho2TmBi6
Theoretical PXRD pattern, copper Kα. Input: a cell relaxed with GGA-PBE.
Intensities are scaled so that the largest is 100.

Structure:
```
data_La3Ho2TmBi6
_symmetry_space_group_name_H-M 'C 1 2/m 1'
_symmetry_Int_Tables_number 12
_cell_length_a 7.9501
_cell_length_b 13.7673
_cell_length_c 7.9024
_cell_angle_alpha 90.00
_cell_angle_beta 109.58
_cell_angle_gamma 90.00
loop_
_symmetry_equiv_pos_as_xyz
'x,y,z'
'-x,-y,-z'
'-x,y,-z'
'x,-y,z'
'x+1/2,y+1/2,z'
'-x+1/2,-y+1/2,-z'
'-x+1/2,y+1/2,-z'
'x+1/2,-y+1/2,z'
loop_
_atom_site_label
_atom_site_type_symbol
_atom_site_fract_x
_atom_site_fract_y
_atom_site_fract_z
La1 La 0.0000 0.0000 0.0000
La2 La 0.0000 0.3328 0.0000
Ho1 Ho 0.0000 0.1663 0.5000
Tm1 Tm 0.0000 0.5000 0.5000
Bi1 Bi 0.2443 0.3339 0.7350
Bi2 Bi 0.2466 0.0000 0.7359
```

Peak list (8 most intense, 2θ from 10° to 90°, sorted by position)
(hkl)  d (Å)  intensity
1 3 1  3.238  100
0 6 0  2.295  40
2 0 2  2.285  38
4 0 0  1.872  22
2 6 2  1.619  13
4 6 0  1.451  19
3 3 3  1.446  18
5 3 1  1.323  14